(1)
Diffraction record for Ca5Mo. The XRD peak list is simulated, not measured: it uses a cell relaxed with PBE and Cu Kα, 1.54184 Å.

Cell and atoms:
```
Ca5Mo
1.0
13.007 0.000 0.000
0.000 3.784 0.000
-3.422 0.000 8.541
Ca Mo
10 2
Direct
0.000 0.000 0.000
0.134 0.500 0.368
0.163 0.500 0.783
0.337 0.000 0.217
0.366 0.000 0.632
0.500 0.500 0.000
0.634 0.000 0.368
0.663 0.000 0.783
0.837 0.500 0.217
0.866 0.500 0.632
0.000 0.000 0.500
0.500 0.500 0.500
```

Most intense lines, 5° ≤ 2θ ≤ 70°, by angle:
2θ/deg  intensity
10.4  75.5
14.5  17.8
14.7  31.8
29.2  46.0
29.8  59.3
30.6  100.0
31.5  17.0
32.5  95.5
34.3  20.6
38.0  21.0
48.1  16.2
55.8  16.8

---

(2)
Diffraction record for Na2HgPSe4. The XRD peak list is simulated, not measured: it uses a cell relaxed with PBE and Cu Kα, 1.54184 Å.

Cell and atoms:
```
Na2HgPSe4
1.0
6.384 0.000 0.000
0.311 6.674 0.000
2.996 2.772 5.732
Na Hg P Se
2 1 1 4
Direct
0.000 0.000 0.000
0.277 0.779 0.493
0.506 0.534 0.946
0.789 0.291 0.470
0.119 0.206 0.241
0.466 0.950 0.724
0.679 0.585 0.245
0.891 0.393 0.694
```

Most intense lines, 5° ≤ 2θ ≤ 70°, by angle:
2θ/deg  intensity
14.7  70.6
15.5  68.5
16.1  47.4
16.3  64.6
23.1  81.6
24.8  58.7
25.5  81.3
25.8  100.0
32.4  43.2
39.5  53.1
41.2  44.4
43.7  52.6

---

(3)
Diffraction record for CeZn2Au9. The XRD peak list is simulated, not measured: it uses a cell relaxed with PBE and Cu Kα, 1.54184 Å.

Cell and atoms:
```
CeZn2Au9
1.0
-5.662 5.662 3.611
5.662 -5.662 3.611
5.662 5.662 -3.611
Ce Zn Au
2 4 18
Direct
0.375 0.625 0.750
0.625 0.375 0.250
0.000 0.000 0.000
0.000 0.000 0.500
0.000 0.500 0.000
0.500 0.000 0.500
0.120 0.554 0.324
0.120 0.796 0.566
0.125 0.875 0.250
0.204 0.270 0.324
0.204 0.880 0.934
0.270 0.204 0.824
0.270 0.446 0.066
0.446 0.270 0.566
0.446 0.880 0.176
0.554 0.120 0.824
0.554 0.730 0.434
0.730 0.554 0.934
0.730 0.796 0.176
0.796 0.120 0.066
0.796 0.730 0.676
0.875 0.125 0.750
0.880 0.204 0.434
0.880 0.446 0.676
```

Most intense lines, 5° ≤ 2θ ≤ 70°, by angle:
2θ/deg  intensity
15.7  12.1
21.4  14.1
35.3  100.0
35.5  57.9
38.2  21.2
40.5  13.5
41.5  24.9
41.8  96.2
43.7  17.6
44.6  11.9
63.6  27.5
68.0  12.5

---

(4)
Diffraction record for NpP2Ru4. The XRD peak list is simulated, not measured: it uses a cell relaxed with PBE and Cu Kα, 1.54184 Å.

Cell and atoms:
```
NpP2Ru4
1.0
3.973 0.000 0.000
0.000 13.582 0.000
0.000 0.000 3.944
Np P Ru
2 4 8
Direct
0.000 0.000 0.000
0.500 0.500 0.000
0.000 0.414 0.500
0.000 0.586 0.500
0.500 0.086 0.500
0.500 0.914 0.500
0.000 0.181 0.500
0.000 0.319 0.000
0.000 0.681 0.000
0.000 0.819 0.500
0.500 0.181 0.000
0.500 0.319 0.500
0.500 0.681 0.500
0.500 0.819 0.000
```

Most intense lines, 5° ≤ 2θ ≤ 70°, by angle:
2θ/deg  intensity
23.3  13.2
26.1  13.3
29.9  12.9
34.9  11.2
37.8  100.0
39.8  15.2
40.2  8.8
45.7  18.4
46.0  18.0
62.2  8.3
62.5  8.1
66.9  11.7

---

Number 3 is which compound? CeZn2Au9